Structure and simulated X-ray diffraction stick pattern of TaNi4Rh2 (a crystal structure in Alexandria, relaxed with PBE; Cu Kα, 1.54184 Å).
Kinematic intensities with the Lorentz-polarization factor, no thermal factor.

Structure:
Lattice parameters (Å, degrees): 4.869 4.869 8.937 90.00 90.00 59.46
Fractional coordinates of all 14 atoms:
Ta (0.000, 0.000, 0.000)
Ta (0.500, 0.500, 0.500)
Ni (0.005, 0.495, 0.750)
Ni (0.009, 0.991, 0.723)
Ni (0.491, 0.509, 0.223)
Ni (0.495, 0.005, 0.250)
Ni (0.505, 0.995, 0.750)
Ni (0.509, 0.491, 0.777)
Ni (0.991, 0.009, 0.277)
Ni (0.995, 0.505, 0.250)
Rh (0.178, 0.178, 0.500)
Rh (0.322, 0.322, 0.000)
Rh (0.678, 0.678, 0.000)
Rh (0.822, 0.822, 0.500)

Peak list (8 most intense, 15° ≤ 2θ ≤ 90°, by angle)
two_theta	I_rel
37.2	31
38.3	100
40.4	63
42.6	44
42.8	21
43.1	25
48.3	78
75.1	20

Structure and simulated X-ray diffraction stick pattern of Tb8NiRh5 (a crystal structure in Alexandria, relaxed with PBE; Cu Kα, 1.54184 Å).
Kinematic intensities with the Lorentz-polarization factor, no thermal factor.

Structure:
Lattice parameters (Å, degrees): 7.458 7.458 7.458 109.57 109.57 109.26
Fractional coordinates of all 14 atoms:
Tb (0.251, 0.503, 0.129)
Tb (0.375, 0.123, 0.871)
Tb (0.377, 0.127, 0.372)
Tb (0.497, 0.625, 0.748)
Tb (0.755, 0.005, 0.628)
Tb (0.873, 0.245, 0.249)
Tb (0.877, 0.749, 0.252)
Tb (0.995, 0.623, 0.751)
Ni (0.250, 0.750, 0.500)
Rh (0.000, 0.000, 0.000)
Rh (0.128, 0.249, 0.624)
Rh (0.497, 0.872, 0.121)
Rh (0.625, 0.503, 0.376)
Rh (0.751, 0.375, 0.879)

Peak list (8 most intense, 15° ≤ 2θ ≤ 90°, by angle)
two_theta	I_rel
29.3	25
32.8	48
32.9	100
39.1	78
49.6	16
54.2	16
54.4	32
67.0	20

Structure and simulated X-ray diffraction stick pattern of Tb3Ni2Rh7 (a crystal structure in Alexandria, relaxed with PBE; Cu Kα, 1.54184 Å).
Kinematic intensities with the Lorentz-polarization factor, no thermal factor.

Structure:
Lattice parameters (Å, degrees): 9.022 9.022 9.022 33.92 33.92 33.92
Fractional coordinates of all 12 atoms:
Tb (0.000, 0.000, 0.000)
Tb (0.140, 0.140, 0.140)
Tb (0.860, 0.860, 0.860)
Ni (0.333, 0.333, 0.333)
Ni (0.667, 0.667, 0.667)
Rh (0.078, 0.581, 0.581)
Rh (0.419, 0.419, 0.922)
Rh (0.419, 0.922, 0.419)
Rh (0.500, 0.500, 0.500)
Rh (0.581, 0.078, 0.581)
Rh (0.581, 0.581, 0.078)
Rh (0.922, 0.419, 0.419)

Peak list (8 most intense, 15° ≤ 2θ ≤ 90°, by angle)
two_theta	I_rel
31.4	41
34.1	34
34.3	43
39.7	49
40.3	100
43.5	27
65.2	24
71.7	27

Structure and simulated X-ray diffraction stick pattern of Tb4Ni2Rh (a crystal structure in Alexandria, relaxed with PBE; Cu Kα, 1.54184 Å).
Kinematic intensities with the Lorentz-polarization factor, no thermal factor.

Structure:
Lattice parameters (Å, degrees): 7.575 7.575 7.575 109.69 109.69 109.03
Fractional coordinates of all 14 atoms:
Tb (0.072, 0.379, 0.306)
Tb (0.073, 0.766, 0.694)
Tb (0.129, 0.322, 0.806)
Tb (0.234, 0.928, 0.307)
Tb (0.516, 0.323, 0.194)
Tb (0.621, 0.927, 0.693)
Tb (0.677, 0.871, 0.193)
Tb (0.678, 0.484, 0.807)
Ni (0.375, 0.125, 0.750)
Ni (0.375, 0.625, 0.250)
Ni (0.375, 0.625, 0.750)
Ni (0.875, 0.625, 0.250)
Rh (0.000, 0.000, 0.000)
Rh (0.750, 0.250, 0.500)

Peak list (8 most intense, 15° ≤ 2θ ≤ 90°, by angle)
two_theta	I_rel
28.8	58
29.0	78
32.2	100
32.4	63
38.6	84
41.4	42
48.9	62
53.3	31

Structure and simulated X-ray diffraction stick pattern of Tb6NiRh5 (a crystal structure in Alexandria, relaxed with PBE; Cu Kα, 1.54184 Å).
Kinematic intensities with the Lorentz-polarization factor, no thermal factor.

Structure:
Lattice parameters (Å, degrees): 4.844 6.927 7.656 90.00 108.21 90.00
Fractional coordinates of all 12 atoms:
Tb (0.000, 0.249, 0.000)
Tb (0.000, 0.751, 0.000)
Tb (0.334, 0.249, 0.668)
Tb (0.334, 0.751, 0.668)
Tb (0.666, 0.249, 0.332)
Tb (0.666, 0.751, 0.332)
Ni (0.500, 0.000, 0.000)
Rh (0.167, 0.000, 0.333)
Rh (0.167, 0.500, 0.335)
Rh (0.500, 0.500, 0.000)
Rh (0.833, 0.000, 0.667)
Rh (0.833, 0.500, 0.665)

Peak list (8 most intense, 15° ≤ 2θ ≤ 90°, by angle)
two_theta	I_rel
36.9	100
37.1	49
52.9	9
53.4	9
53.6	8
66.4	18
66.7	17
66.8	17

Structure and simulated X-ray diffraction stick pattern of TbTmNiRh (a crystal structure in Alexandria, relaxed with PBE; Cu Kα, 1.54184 Å).
Kinematic intensities with the Lorentz-polarization factor, no thermal factor.

Structure:
Lattice parameters (Å, degrees): 4.096 3.804 10.496 90.00 90.00 90.00
Fractional coordinates of all 8 atoms:
Tb (0.000, 0.000, 0.000)
Tb (0.000, 0.500, 0.500)
Tm (0.500, 0.000, 0.718)
Tm (0.500, 0.500, 0.218)
Ni (0.500, 0.000, 0.436)
Ni (0.500, 0.500, 0.936)
Rh (0.000, 0.000, 0.277)
Rh (0.000, 0.500, 0.777)

Peak list (8 most intense, 15° ≤ 2θ ≤ 90°, by angle)
two_theta	I_rel
27.6	22
33.3	100
34.2	28
34.8	36
40.8	20
41.4	49
44.2	25
67.1	27

Question: Which formula does entry 5 have?
Answer: Tb6NiRh5

Repeat the fifth record exactly.
Structure and simulated X-ray diffraction stick pattern of Tb6NiRh5 (a crystal structure in Alexandria, relaxed with PBE; Cu Kα, 1.54184 Å).
Kinematic intensities with the Lorentz-polarization factor, no thermal factor.

Structure:
Lattice parameters (Å, degrees): 4.844 6.927 7.656 90.00 108.21 90.00
Fractional coordinates of all 12 atoms:
Tb (0.000, 0.249, 0.000)
Tb (0.000, 0.751, 0.000)
Tb (0.334, 0.249, 0.668)
Tb (0.334, 0.751, 0.668)
Tb (0.666, 0.249, 0.332)
Tb (0.666, 0.751, 0.332)
Ni (0.500, 0.000, 0.000)
Rh (0.167, 0.000, 0.333)
Rh (0.167, 0.500, 0.335)
Rh (0.500, 0.500, 0.000)
Rh (0.833, 0.000, 0.667)
Rh (0.833, 0.500, 0.665)

Peak list (8 most intense, 15° ≤ 2θ ≤ 90°, by angle)
two_theta	I_rel
36.9	100
37.1	49
52.9	9
53.4	9
53.6	8
66.4	18
66.7	17
66.8	17

Repeat the first record exactly.
Structure and simulated X-ray diffraction stick pattern of TaNi4Rh2 (a crystal structure in Alexandria, relaxed with PBE; Cu Kα, 1.54184 Å).
Kinematic intensities with the Lorentz-polarization factor, no thermal factor.

Structure:
Lattice parameters (Å, degrees): 4.869 4.869 8.937 90.00 90.00 59.46
Fractional coordinates of all 14 atoms:
Ta (0.000, 0.000, 0.000)
Ta (0.500, 0.500, 0.500)
Ni (0.005, 0.495, 0.750)
Ni (0.009, 0.991, 0.723)
Ni (0.491, 0.509, 0.223)
Ni (0.495, 0.005, 0.250)
Ni (0.505, 0.995, 0.750)
Ni (0.509, 0.491, 0.777)
Ni (0.991, 0.009, 0.277)
Ni (0.995, 0.505, 0.250)
Rh (0.178, 0.178, 0.500)
Rh (0.322, 0.322, 0.000)
Rh (0.678, 0.678, 0.000)
Rh (0.822, 0.822, 0.500)

Peak list (8 most intense, 15° ≤ 2θ ≤ 90°, by angle)
two_theta	I_rel
37.2	31
38.3	100
40.4	63
42.6	44
42.8	21
43.1	25
48.3	78
75.1	20